The following is a theoretical XRD peak list of NaAgHgCl5. It was derived from a structure optimized by DFT (GGA-PBE), using λ = 1.5418 Å (Cu Kα).
Neutral-atom scattering factors, no anomalous dispersion.

abc: 7.612 7.612 9.585
angles: 104.51 104.51 109.35
Element x y z (fractional)
Na 0.194 0.806 0.750
Na 0.806 0.194 0.250
Ag 0.500 0.500 0.000
Ag 0.500 0.500 0.500
Hg 0.173 0.827 0.250
Hg 0.827 0.173 0.750
Cl 0.166 0.654 0.432
Cl 0.187 0.200 0.899
Cl 0.200 0.187 0.399
Cl 0.346 0.834 0.068
Cl 0.443 0.557 0.750
Cl 0.557 0.443 0.250
Cl 0.654 0.166 0.932
Cl 0.800 0.813 0.601
Cl 0.813 0.800 0.101
Cl 0.834 0.346 0.568

Main lines, in order of rising 2θ (10 to 90 degrees two-theta):
13.46°, I 62; 17.59°, I 64; 19.53°, I 67; 19.99°, I 92; 22.41°, I 73; 24.25°, I 100

The following is a theoretical XRD peak list of Na2AgHgCl6. It was derived from a structure optimized by DFT (GGA-PBE), using λ = 1.5418 Å (Cu Kα).
Neutral-atom scattering factors, no anomalous dispersion.

abc: 7.525 7.525 5.159
angles: 90.00 90.00 90.00
Element x y z (fractional)
Na 0.000 0.500 0.000
Na 0.500 0.000 0.000
Ag 0.000 0.000 0.786
Hg 0.500 0.500 0.775
Cl 0.000 0.000 0.288
Cl 0.248 0.248 0.808
Cl 0.248 0.752 0.808
Cl 0.500 0.500 0.282
Cl 0.752 0.248 0.808
Cl 0.752 0.752 0.808

Main lines, in order of rising 2θ (10 to 90 degrees two-theta):
16.66°, I 100; 17.19°, I 66; 24.03°, I 40; 33.69°, I 52; 38.06°, I 35; 38.80°, I 39

The following is a theoretical XRD peak list of Rb3AgHg2Cl9. It was derived from a structure optimized by DFT (GGA-PBE), using λ = 1.5418 Å (Cu Kα).
Neutral-atom scattering factors, no anomalous dispersion.

abc: 7.481 7.481 9.162
angles: 90.00 90.00 120.00
Element x y z (fractional)
Rb 0.000 0.000 0.000
Rb 0.333 0.667 0.664
Rb 0.667 0.333 0.336
Ag 0.000 0.000 0.500
Hg 0.333 0.667 0.173
Hg 0.667 0.333 0.827
Cl 0.000 0.500 0.000
Cl 0.165 0.330 0.335
Cl 0.165 0.835 0.335
Cl 0.330 0.165 0.665
Cl 0.500 0.000 0.000
Cl 0.500 0.500 0.000
Cl 0.670 0.835 0.335
Cl 0.835 0.165 0.665
Cl 0.835 0.670 0.665

Main lines, in order of rising 2θ (10 to 90 degrees two-theta):
16.76°, I 37; 23.79°, I 100; 33.89°, I 56; 41.83°, I 47; 48.69°, I 38; 66.09°, I 25

The following is a theoretical XRD peak list of Ag2HgRhCl6. It was derived from a structure optimized by DFT (GGA-PBE), using λ = 1.5418 Å (Cu Kα).
Neutral-atom scattering factors, no anomalous dispersion.

abc: 6.776 6.776 7.309
angles: 62.47 62.44 60.05
Element x y z (fractional)
Ag 0.204 0.205 0.386
Ag 0.796 0.795 0.614
Hg 0.000 0.000 0.000
Rh 0.500 0.500 0.500
Cl 0.148 0.405 0.720
Cl 0.273 0.851 0.280
Cl 0.406 0.727 0.720
Cl 0.594 0.273 0.280
Cl 0.727 0.149 0.720
Cl 0.852 0.595 0.280

Main lines, in order of rising 2θ (10 to 90 degrees two-theta):
24.47°, I 92; 26.30°, I 100; 28.47°, I 49; 36.23°, I 47; 39.47°, I 68; 46.41°, I 54

The following is a theoretical XRD peak list of SrAgHgCl5. It was derived from a structure optimized by DFT (GGA-PBE), using λ = 1.5418 Å (Cu Kα).
Neutral-atom scattering factors, no anomalous dispersion.

abc: 7.537 7.537 10.295
angles: 106.86 106.86 101.66
Element x y z (fractional)
Sr 0.000 0.500 0.000
Sr 0.500 0.000 0.500
Ag 0.090 0.910 0.750
Ag 0.910 0.090 0.250
Hg 0.419 0.581 0.750
Hg 0.581 0.419 0.250
Cl 0.129 0.871 0.250
Cl 0.218 0.332 0.189
Cl 0.241 0.710 0.564
Cl 0.290 0.759 0.936
Cl 0.332 0.218 0.689
Cl 0.668 0.782 0.311
Cl 0.710 0.241 0.064
Cl 0.759 0.290 0.436
Cl 0.782 0.668 0.811
Cl 0.871 0.129 0.750

Main lines, in order of rising 2θ (10 to 90 degrees two-theta):
18.86°, I 89; 21.05°, I 100; 24.72°, I 74; 25.18°, I 59; 39.54°, I 50; 42.73°, I 61

The following is a theoretical XRD peak list of Tl2AgHgCl8. It was derived from a structure optimized by DFT (GGA-PBE), using λ = 1.5418 Å (Cu Kα).
Neutral-atom scattering factors, no anomalous dispersion.

abc: 7.861 7.861 7.861
angles: 111.62 111.62 105.26
Element x y z (fractional)
Tl 0.000 0.000 0.000
Tl 0.750 0.250 0.500
Ag 0.250 0.750 0.500
Hg 0.500 0.500 0.000
Cl 0.029 0.821 0.209
Cl 0.164 0.450 0.714
Cl 0.179 0.388 0.209
Cl 0.179 0.971 0.791
Cl 0.550 0.264 0.714
Cl 0.550 0.836 0.286
Cl 0.612 0.821 0.791
Cl 0.736 0.450 0.286

Main lines, in order of rising 2θ (10 to 90 degrees two-theta):
20.10°, I 88; 23.46°, I 100; 37.30°, I 80; 40.86°, I 24; 43.09°, I 24; 47.65°, I 25

The following is a theoretical XRD peak list of HoAg6Cl12. It was derived from a structure optimized by DFT (GGA-PBE), using λ = 1.5418 Å (Cu Kα).
Neutral-atom scattering factors, no anomalous dispersion.

abc: 8.696 8.696 8.696
angles: 77.13 77.13 77.13
Element x y z (fractional)
Ho 0.000 0.000 0.000
Ag 0.111 0.295 0.598
Ag 0.295 0.598 0.111
Ag 0.402 0.889 0.705
Ag 0.598 0.111 0.295
Ag 0.705 0.402 0.889
Ag 0.889 0.705 0.402
Cl 0.004 0.688 0.057
Cl 0.057 0.004 0.688
Cl 0.178 0.553 0.407
Cl 0.312 0.943 0.996
Cl 0.407 0.178 0.553
Cl 0.447 0.593 0.822
Cl 0.553 0.407 0.178
Cl 0.593 0.822 0.447
Cl 0.688 0.057 0.004
Cl 0.822 0.447 0.593
Cl 0.943 0.996 0.312
Cl 0.996 0.312 0.943

Main lines, in order of rising 2θ (10 to 90 degrees two-theta):
14.68°, I 100; 25.58°, I 44; 32.04°, I 54; 43.28°, I 19; 44.20°, I 16; 46.82°, I 19

The following is a theoretical XRD peak list of Ag3I3Cl. It was derived from a structure optimized by DFT (GGA-PBE), using λ = 1.5418 Å (Cu Kα).
Neutral-atom scattering factors, no anomalous dispersion.

abc: 9.518 9.518 6.007
angles: 90.00 90.00 119.98
Element x y z (fractional)
Ag 0.176 0.824 0.750
Ag 0.177 0.353 0.750
Ag 0.353 0.177 0.250
Ag 0.647 0.823 0.750
Ag 0.823 0.647 0.250
Ag 0.824 0.176 0.250
I 0.173 0.827 0.250
I 0.174 0.347 0.250
I 0.347 0.174 0.750
I 0.653 0.826 0.250
I 0.826 0.653 0.750
I 0.827 0.173 0.750
Cl 0.333 0.667 0.750
Cl 0.667 0.333 0.250

Main lines, in order of rising 2θ (10 to 90 degrees two-theta):
18.64°, I 38; 21.56°, I 100; 29.74°, I 60; 37.03°, I 49; 37.80°, I 88; 48.83°, I 83